[1]
The following is a theoretical powder XRD pattern of IrW2. It was derived from a cell relaxed with GGA-PBE, using Cu Ka.
Lines closer than 0.1° are merged.

Atomic structure:
Lattice parameters (Å, degrees): 3.923 3.923 24.338 90.00 90.00 90.00
Space group I4_1/amd (No. 141, origin choice 2)
Asymmetric unit:
Ir  0.000  0.250  0.290 (multiplicity 8)
W  0.000  0.250  0.124 (multiplicity 8)
W  0.000  0.250  0.789 (multiplicity 8)

Main lines, sorted by position (15° ≤ 2θ ≤ 90°):
(hkl), 2theta, d_spacing, I_rel
1 1 6, 39.3, 2.290, 1000
0 0 12, 44.7, 2.028, 172
2 0 0, 46.3, 1.962, 319
2 0 12, 66.3, 1.410, 215
1 1 18, 78.7, 1.215, 129
3 1 6, 81.1, 1.186, 253

=====

[2]
The following is a theoretical powder XRD pattern of Ir3W2. It was derived from a cell relaxed with GGA-PBE, using Cu Ka.
Lines closer than 0.1° are merged.

Atomic structure:
Lattice parameters (Å, degrees): 9.506 13.389 4.817 90.00 90.00 90.00
Space group Fdd2 (No. 43)
Asymmetric unit:
Ir  0.000  0.000  0.000 (multiplicity 8)
Ir  0.042  0.398  0.022 (multiplicity 16)
W  0.034  0.300  0.540 (multiplicity 16)

Main lines, sorted by position (15° ≤ 2θ ≤ 90°):
(hkl), 2theta, d_spacing, I_rel
4 0 0, 37.9, 2.377, 210
1 5 1, 39.6, 2.273, 1000
4 2 0, 40.3, 2.240, 215
2 0 2, 42.1, 2.149, 579
3 5 1, 48.3, 1.883, 310
6 2 2, 72.8, 1.299, 165

=====

[3]
The following is a theoretical powder XRD pattern of Ir5W3. It was derived from a cell relaxed with GGA-PBE, using Cu Ka.
Lines closer than 0.1° are merged.

Atomic structure:
Lattice parameters (Å, degrees): 7.817 7.843 3.918 90.00 90.00 90.00
Space group Cmmm (No. 65)
Asymmetric unit:
Ir  0.000  0.000  0.000 (multiplicity 2)
Ir  0.000  0.253  0.500 (multiplicity 4)
Ir  0.250  0.250  0.000 (multiplicity 4)
W  0.000  0.500  0.000 (multiplicity 2)
W  0.249  0.000  0.500 (multiplicity 4)

Main lines, sorted by position (15° ≤ 2θ ≤ 90°):
(hkl), 2theta, d_spacing, I_rel
2 2 1, 39.9, 2.261, 1000
0 4 0, 46.3, 1.960, 328
4 0 0, 46.5, 1.954, 163
4 4 0, 67.6, 1.385, 214
2 2 3, 81.5, 1.182, 260
6 2 1, 81.7, 1.179, 129

=====

[4]
The following is a theoretical powder XRD pattern of IrW. It was derived from a cell relaxed with GGA-PBE, using Cu Ka.
Lines closer than 0.1° are merged.

Atomic structure:
Lattice parameters (Å, degrees): 10.202 2.783 4.885 90.00 118.52 90.00
Space group C2/m (No. 12)
Asymmetric unit:
Ir  0.122  0.000  0.293 (multiplicity 4)
W  0.124  0.500  0.786 (multiplicity 4)

Main lines, sorted by position (15° ≤ 2θ ≤ 90°):
(hkl), 2theta, d_spacing, I_rel
1 1 -1, 37.2, 2.418, 242
4 0 0, 40.2, 2.241, 387
0 0 2, 42.1, 2.145, 513
3 1 -1, 42.5, 2.128, 1000
3 1 -3, 66.5, 1.405, 178
7 1 -1, 74.7, 1.271, 192

=====

[5]
The following is a theoretical powder XRD pattern of Y2Ir. It was derived from a cell relaxed with GGA-PBE, using Cu Ka.
Lines closer than 0.1° are merged.

Atomic structure:
Lattice parameters (Å, degrees): 6.749 13.232 7.102 90.00 90.00 90.00
Space group Pbca (No. 61)
Asymmetric unit:
Y  0.001  0.031  0.239 (multiplicity 8)
Y  0.168  0.704  0.882 (multiplicity 8)
Ir  0.223  0.109  0.543 (multiplicity 8)

Main lines, sorted by position (15° ≤ 2θ ≤ 90°):
(hkl), 2theta, d_spacing, I_rel
1 2 1, 22.6, 3.934, 1000
1 4 1, 32.7, 2.740, 292
2 0 2, 36.7, 2.446, 431
0 4 2, 37.1, 2.420, 305
1 2 3, 42.7, 2.117, 295
1 6 1, 45.1, 2.011, 338

=====

[6]
The following is a theoretical powder XRD pattern of Y2Ir. It was derived from a cell relaxed with GGA-PBE, using Cu Ka.
Lines closer than 0.1° are merged.

Atomic structure:
Lattice parameters (Å, degrees): 13.711 3.794 6.859 90.00 115.44 90.00
Space group C2/m (No. 12)
Asymmetric unit:
Y  0.016  0.000  0.251 (multiplicity 4)
Y  0.217  0.500  0.757 (multiplicity 4)
Ir  0.118  0.500  0.065 (multiplicity 4)

Main lines, sorted by position (15° ≤ 2θ ≤ 90°):
(hkl), 2theta, d_spacing, I_rel
1 1 1, 30.1, 2.971, 560
4 0 -2, 30.8, 2.899, 504
3 1 0, 32.0, 2.793, 1000
1 1 -2, 35.7, 2.517, 731
5 1 -1, 40.6, 2.222, 650
0 2 0, 47.9, 1.898, 678